For CaPrSmTm, DFT lattice parameters and positions (PBE) gives the calculated X-ray diffraction stick pattern in this record (Cu Kα (λ = 1.5418 Å)).

```
data_CaPrSmTm
_chemical_formula_sum 'Ca1 Pr1 Sm1 Tm1'
_symmetry_space_group_name_H-M 'P 1'
_symmetry_Int_Tables_number 1
_symmetry_space_group_name_Hall 'P 1'
_cell_length_a 5.8181
_cell_length_b 5.8181
_cell_length_c 5.8181
_cell_angle_alpha 60.00
_cell_angle_beta 60.00
_cell_angle_gamma 60.00
loop_
_atom_site_label
_atom_site_fract_x
_atom_site_fract_y
_atom_site_fract_z
Ca1 0.0000 0.0000 0.0000
Pr1 0.2500 0.2500 0.2500
Sm1 0.7500 0.7500 0.7500
Tm1 0.5000 0.5000 0.5000
```

Largest 12 diffraction maxima, sorted by position, 10 to 80 degrees two-theta:
2θ/deg	I_rel
18.68	14
21.60	3
30.73	100
36.21	8
44.02	19
48.21	4
49.54	1
54.65	39
58.27	3
64.01	12
67.32	3
72.68	17